1.
The following is a calculated X-ray diffraction stick pattern of Hf2ZrN4. It was derived from DFT lattice parameters and positions (GGA-PBE), using CuKα.

Most intense lines, 2θ = 10–90°, low angle first:
index	two_theta	I/Imax
0 0 2	17.04	17
1 1 0	30.01	18
0 2 3	31.02	100
1 1 1	31.24	27
0 4 0	34.67	60
1 3 1	39.94	37
1 3 2	42.82	28
1 1 5	53.73	18
0 6 3	59.81	26
2 2 3	68.58	21

Structural model:
Cell lengths 3.109, 10.361, 10.408 Å; angles 90.00, 90.00, 90.00 degrees
Space group Cmcm (No. 63)
One atom of each set of equivalent atoms:
Hf1 0.000 0.132 0.073
Zr1 0.000 0.384 0.250
N1 0.000 0.029 0.250
N2 0.000 0.230 0.621
N3 0.000 0.500 0.000

2.
The following is a calculated X-ray diffraction stick pattern of Cu2HgI2Cl2. It was derived from DFT lattice parameters and positions (GGA-PBE), using CuKα.

Most intense lines, 2θ = 10–90°, low angle first:
index	two_theta	I/Imax
0 1 0	15.72	47
0 1 1	21.13	33
1 0 1	21.58	51
1 1 -1	25.45	100
1 1 1	26.82	97
1 2 -1	37.75	23
2 0 -2	40.41	26
0 2 2	43.03	50
2 0 2	43.99	23
2 2 0	44.75	41

Structural model:
Cell lengths 5.844, 5.636, 6.331 Å; angles 90.00, 94.65, 90.00 degrees
Space group P2 (No. 3)
One atom of each set of equivalent atoms:
Cu1 0.000 0.000 0.000
Cu2 0.500 0.449 0.000
Hg1 0.500 0.947 0.500
I1 0.213 0.708 0.762
Cl1 0.265 0.229 0.207

3.
The following is a calculated X-ray diffraction stick pattern of Ba2CdBiSb. It was derived from DFT lattice parameters and positions (GGA-PBE), using CuKα.

Most intense lines, 2θ = 10–90°, low angle first:
index	two_theta	I/Imax
0 2 1	14.06	34
0 0 2	20.97	32
1 3 0	22.73	32
0 2 2	23.02	30
1 3 1	25.07	49
1 5 0	29.69	80
1 3 2	31.12	100
0 2 3	33.11	27
2 0 0	35.91	49
1 11 1	58.00	24

Structural model:
Cell lengths 5.002, 18.833, 8.475 Å; angles 90.00, 90.00, 90.00 degrees
Space group Cmc2_1 (No. 36)
One atom of each set of equivalent atoms:
Ba1 0.000 0.029 0.000
Ba2 0.000 0.203 0.671
Cd1 0.000 0.410 0.849
Bi1 0.000 0.170 0.262
Sb1 0.000 0.436 0.208

4.
The following is a calculated X-ray diffraction stick pattern of LaPrAg2Ge2. It was derived from DFT lattice parameters and positions (GGA-PBE), using CuKα.

Most intense lines, 2θ = 10–90°, low angle first:
index	two_theta	I/Imax
1 0 1	25.09	6
1 0 2	32.01	100
1 1 0	39.22	59
0 0 4	46.19	10
0 2 2	51.49	26
1 1 4	62.16	23
2 1 2	66.59	23
3 0 0	71.09	10
2 2 0	84.33	6
3 0 4	89.06	9

Structural model:
Cell lengths 4.5937, 4.5937, 7.8619 Å; angles 90.00, 90.00, 120.00 degrees
Space group P3m1 (No. 156)
One atom of each set of equivalent atoms:
La1 0.0000 0.0000 0.0000
Pr1 0.0000 0.0000 0.5006
Ag1 0.3333 0.6667 0.2386
Ag2 0.6667 0.3333 0.7307
Ge1 0.3333 0.6667 0.7828
Ge2 0.6667 0.3333 0.2855

5.
The following is a calculated X-ray diffraction stick pattern of Dy3Si2Ni4Ge2. It was derived from DFT lattice parameters and positions (GGA-PBE), using CuKα.

Most intense lines, 2θ = 10–90°, low angle first:
index	two_theta	I/Imax
0 1 3	23.84	22
1 1 2	29.08	27
1 2 1	35.67	100
0 1 5	35.80	26
1 1 4	37.23	85
0 0 6	39.94	16
2 0 0	44.96	33
0 3 3	45.68	36
2 3 3	66.03	23
3 2 1	76.88	16

Structural model:
Cell lengths 4.032, 6.635, 13.545 Å; angles 90.00, 90.00, 90.00 degrees
Space group Immm (No. 71)
One atom of each set of equivalent atoms:
Dy1 0.000 0.000 0.000
Dy2 0.000 0.500 0.129
Si1 0.000 0.000 0.217
Ni1 0.000 0.304 0.317
Ge1 0.000 0.195 0.500

6.
The following is a calculated X-ray diffraction stick pattern of Sc2ReB6. It was derived from DFT lattice parameters and positions (GGA-PBE), using CuKα.

Most intense lines, 2θ = 10–90°, low angle first:
index	two_theta	I/Imax
0 2 0	15.86	62
1 2 0	18.74	72
2 1 0	21.48	100
0 0 1	25.38	100
2 1 1	33.48	58
1 4 0	33.61	53
4 0 0	40.59	58
1 4 1	42.58	70
3 3 1	46.92	53
2 7 1	67.85	40

Structural model:
Cell lengths 8.904, 11.178, 3.510 Å; angles 90.00, 90.00, 90.00 degrees
Space group Pbam (No. 55)
One atom of each set of equivalent atoms:
Sc1 0.056 0.129 0.000
Sc2 0.179 0.413 0.000
Re1 0.140 0.680 0.000
B1 0.021 0.288 0.500
B2 0.053 0.565 0.500
B3 0.097 0.973 0.500
B4 0.130 0.818 0.500
B5 0.205 0.236 0.500
B6 0.247 0.078 0.500

7.
The following is a calculated X-ray diffraction stick pattern of Cd5Te2H2S2O16. It was derived from DFT lattice parameters and positions (GGA-PBE), using CuKα.

Most intense lines, 2θ = 10–90°, low angle first:
index	two_theta	I/Imax
0 0 1	11.17	29
0 1 0	11.43	29
1 -1 1	25.72	100
1 2 2	28.29	91
-1 1 2	29.23	78
1 2 -1	32.13	76
0 3 1	32.61	45
2 0 0	33.77	32
2 1 0	33.97	61
-2 2 1	44.14	34

Structural model:
Cell lengths 5.418, 8.382, 8.496 Å; angles 69.14, 82.75, 79.38 degrees
Space group P-1 (No. 2)
One atom of each set of equivalent atoms:
Cd1 0.000 0.000 0.000
Cd2 0.180 0.762 0.677
Cd3 0.306 0.342 0.008
Te1 0.220 0.569 0.269
H1 0.259 0.050 0.245
S1 0.333 0.160 0.626
O1 0.002 0.484 0.169
O2 0.119 0.118 0.175
O3 0.151 0.218 0.494
O4 0.210 0.209 0.775
O5 0.296 0.762 0.080
O6 0.413 0.970 0.682
O7 0.440 0.752 0.436
O8 0.499 0.568 0.805